Record 1
Starting from the PBE geometry in Alexandria, the powder diffractogram of La3TbY8 was calculated for Cu Kα, 1.54184 Å.
Lines closer than 0.1° are merged.

The 12 most intense peaks (2θ from 15° to 90°), by intensity:
| Position (°2θ) | I_rel |
| --- | --- |
| 35.69 | 100.0 |
| 28.49 | 70.4 |
| 31.37 | 51.6 |
| 21.06 | 50.8 |
| 42.88 | 44.4 |
| 23.77 | 33.7 |
| 43.84 | 33.5 |
| 32.62 | 31.9 |
| 55.25 | 29.1 |
| 25.45 | 25.8 |
| 58.68 | 24.7 |
| 68.31 | 21.0 |

Structure:
Unit cell a=8.863 b=8.863 c=11.407 alpha=90.00 beta=90.00 gamma=90.00
Space group I-42m (No. 121)
Unique sites:
1 La 0.000 0.000 0.000 [2 per cell]
2 La 0.000 0.500 0.250 [4 per cell]
3 Tb 0.000 0.000 0.500 [2 per cell]
4 Y 0.124 0.124 0.745 [8 per cell]
5 Y 0.243 0.243 0.488 [8 per cell]


Record 2
Starting from the PBE geometry in Alexandria, the powder diffractogram of CdGaHg4 was calculated for Cu Kα, 1.54184 Å.
Lines closer than 0.1° are merged.

The 12 most intense peaks (2θ from 15° to 90°), by intensity:
| Position (°2θ) | I_rel |
| --- | --- |
| 30.29 | 100.0 |
| 35.23 | 60.4 |
| 32.91 | 41.3 |
| 40.26 | 35.1 |
| 43.41 | 31.5 |
| 30.70 | 27.9 |
| 46.03 | 25.8 |
| 65.13 | 22.9 |
| 27.11 | 21.9 |
| 19.97 | 20.6 |
| 38.43 | 20.3 |
| 57.73 | 16.8 |

Structure:
Unit cell a=7.888 b=5.962 c=6.675 alpha=90.00 beta=90.00 gamma=90.00
Space group Pmn2_1 (No. 31)
Unique sites:
1 Cd 0.000 0.157 0.000 [2 per cell]
2 Ga 0.000 0.919 0.523 [2 per cell]
3 Hg 0.000 0.432 0.640 [2 per cell]
4 Hg 0.000 0.630 0.184 [2 per cell]
5 Hg 0.244 0.803 0.837 [4 per cell]


Record 3
Starting from the PBE geometry in Alexandria, the powder diffractogram of U2InRe was calculated for Cu Kα, 1.54184 Å.
Lines closer than 0.1° are merged.

The 12 most intense peaks (2θ from 15° to 90°), by intensity:
| Position (°2θ) | I_rel |
| --- | --- |
| 37.17 | 100.0 |
| 33.98 | 85.7 |
| 62.91 | 44.0 |
| 48.81 | 31.3 |
| 49.48 | 22.6 |
| 72.05 | 15.7 |
| 81.59 | 14.9 |
| 36.89 | 11.8 |
| 83.46 | 10.4 |
| 71.52 | 10.4 |
| 23.85 | 8.2 |
| 55.65 | 7.9 |

Structure:
Unit cell a=3.731 b=3.731 c=6.354 alpha=90.00 beta=90.00 gamma=90.00
Space group P4/mmm (No. 123)
Unique sites:
1 U 0.000 0.000 0.195 [2 per cell]
2 In 0.500 0.500 0.500 [1 per cell]
3 Re 0.500 0.500 0.000 [1 per cell]


Record 4
Starting from the PBE geometry in Alexandria, the powder diffractogram of Sn3Ge2Te6 was calculated for Cu Kα, 1.54184 Å.
Lines closer than 0.1° are merged.

The 12 most intense peaks (2θ from 15° to 90°), by intensity:
| Position (°2θ) | I_rel |
| --- | --- |
| 28.52 | 100.0 |
| 42.01 | 36.8 |
| 39.51 | 36.3 |
| 51.56 | 19.3 |
| 68.61 | 16.4 |
| 65.06 | 13.4 |
| 59.03 | 11.2 |
| 75.07 | 11.1 |
| 76.76 | 6.3 |
| 47.26 | 5.8 |
| 69.93 | 4.3 |
| 85.06 | 2.7 |

Structure:
Unit cell a=4.3015 b=4.3015 c=63.4725 alpha=90.00 beta=90.00 gamma=120.00
Space group R-3m (No. 166, hexagonal axes)
Unique sites:
1 Sn 0.0000 0.0000 0.0000 [3 per cell]
2 Sn 0.0000 0.0000 0.2713 [6 per cell]
3 Ge 0.0000 0.0000 0.4557 [6 per cell]
4 Te 0.0000 0.0000 0.0893 [6 per cell]
5 Te 0.0000 0.0000 0.1886 [6 per cell]
6 Te 0.0000 0.0000 0.3629 [6 per cell]


Copy entry 3 word for word.
Starting from the PBE geometry in Alexandria, the powder diffractogram of U2InRe was calculated for Cu Kα, 1.54184 Å.
Lines closer than 0.1° are merged.

The 12 most intense peaks (2θ from 15° to 90°), by intensity:
| Position (°2θ) | I_rel |
| --- | --- |
| 37.17 | 100.0 |
| 33.98 | 85.7 |
| 62.91 | 44.0 |
| 48.81 | 31.3 |
| 49.48 | 22.6 |
| 72.05 | 15.7 |
| 81.59 | 14.9 |
| 36.89 | 11.8 |
| 83.46 | 10.4 |
| 71.52 | 10.4 |
| 23.85 | 8.2 |
| 55.65 | 7.9 |

Structure:
Unit cell a=3.731 b=3.731 c=6.354 alpha=90.00 beta=90.00 gamma=90.00
Space group P4/mmm (No. 123)
Unique sites:
1 U 0.000 0.000 0.195 [2 per cell]
2 In 0.500 0.500 0.500 [1 per cell]
3 Re 0.500 0.500 0.000 [1 per cell]


Copy entry 4 word for word.
Starting from the PBE geometry in Alexandria, the powder diffractogram of Sn3Ge2Te6 was calculated for Cu Kα, 1.54184 Å.
Lines closer than 0.1° are merged.

The 12 most intense peaks (2θ from 15° to 90°), by intensity:
| Position (°2θ) | I_rel |
| --- | --- |
| 28.52 | 100.0 |
| 42.01 | 36.8 |
| 39.51 | 36.3 |
| 51.56 | 19.3 |
| 68.61 | 16.4 |
| 65.06 | 13.4 |
| 59.03 | 11.2 |
| 75.07 | 11.1 |
| 76.76 | 6.3 |
| 47.26 | 5.8 |
| 69.93 | 4.3 |
| 85.06 | 2.7 |

Structure:
Unit cell a=4.3015 b=4.3015 c=63.4725 alpha=90.00 beta=90.00 gamma=120.00
Space group R-3m (No. 166, hexagonal axes)
Unique sites:
1 Sn 0.0000 0.0000 0.0000 [3 per cell]
2 Sn 0.0000 0.0000 0.2713 [6 per cell]
3 Ge 0.0000 0.0000 0.4557 [6 per cell]
4 Te 0.0000 0.0000 0.0893 [6 per cell]
5 Te 0.0000 0.0000 0.1886 [6 per cell]
6 Te 0.0000 0.0000 0.3629 [6 per cell]